1.
Diffraction record for Gd2Ga9Co3. The powder diffractogram is theoretical, not measured: it uses DFT lattice parameters and positions (PBE) and Cu Kα.
Lines closer than 0.1° are merged.

Top 8 peaks for 2θ = 15–90°, sorted by position:
2theta, I/Imax, (hkl)
37.46, 100.0, 3 1 3
38.06, 16.4, 0 0 4
38.33, 14.3, 4 2 1
42.18, 46.4, 3 3 0
42.37, 22.7, 6 0 0
73.91, 10.9, 3 5 3
74.04, 10.8, 6 4 3
74.27, 10.6, 9 1 3

Cell and atoms:
```
data_Gd2Ga9Co3
_cell_length_a 12.798
_cell_length_b 7.433
_cell_length_c 9.457
_cell_angle_alpha 90.00
_cell_angle_beta 90.00
_cell_angle_gamma 90.00
_space_group_name_H-M_alt 'C m c m'
_space_group_IT_number 63
_space_group_name_Hall '-C 2c 2'
loop_
_atom_site_label
_atom_site_type_symbol
_atom_site_fract_x
_atom_site_fract_y
_atom_site_fract_z
Gd1 Gd 0.164 0.167 0.250
Ga1 Ga 0.000 0.122 0.750
Ga2 Ga 0.000 0.334 0.057
Ga3 Ga 0.107 0.443 0.750
Ga4 Ga 0.167 0.168 0.572
Co1 Co 0.000 0.000 0.000
Co2 Co 0.171 0.500 0.000
```

***

2.
Diffraction record for GdGa2Co. The powder diffractogram is theoretical, not measured: it uses DFT lattice parameters and positions (PBE) and Cu Kα.
Lines closer than 0.1° are merged.

Top 8 peaks for 2θ = 15–90°, sorted by position:
2theta, I/Imax, (hkl)
29.99, 29.5, 1 0 2
31.58, 19.7, 1 1 -1
34.67, 100.0, 1 1 1
41.42, 39.3, 0 1 3
43.76, 26.9, 0 2 -1
45.55, 23.9, 2 0 0
63.25, 21.8, 2 1 3
65.01, 16.0, 2 2 -1

Cell and atoms:
```
data_GdGa2Co
_cell_length_a 3.983
_cell_length_b 4.137
_cell_length_c 9.211
_cell_angle_alpha 102.93
_cell_angle_beta 90.02
_cell_angle_gamma 90.00
_space_group_name_H-M_alt 'P 1'
_space_group_IT_number 1
loop_
_space_group_symop_operation_xyz
'x,y,z'
loop_
_atom_site_label
_atom_site_type_symbol
_atom_site_fract_x
_atom_site_fract_y
_atom_site_fract_z
Gd1 Gd 0.000 0.000 0.000
Gd2 Gd 0.000 0.287 0.564
Ga1 Ga 0.000 0.644 0.282
Ga2 Ga 0.499 0.435 0.865
Ga3 Ga 0.499 0.853 0.699
Ga4 Ga 0.500 0.147 0.282
Co1 Co 0.499 0.573 0.132
Co2 Co 0.500 0.722 0.432
```

***

3.
Diffraction record for Gd2Ga8Co. The powder diffractogram is theoretical, not measured: it uses DFT lattice parameters and positions (PBE) and Cu Kα.
Lines closer than 0.1° are merged.

Top 8 peaks for 2θ = 15–90°, sorted by position:
2theta, I/Imax, (hkl)
20.74, 21.4, 1 0 0
33.73, 57.2, 1 1 2
38.44, 100.0, 1 1 3
40.70, 23.6, 0 0 5
42.21, 61.4, 2 0 0
60.08, 29.4, 2 0 5
61.23, 19.8, 2 2 0
74.66, 27.2, 3 1 3

Cell and atoms:
```
data_Gd2Ga8Co
_cell_length_a 4.282
_cell_length_b 4.282
_cell_length_c 11.083
_cell_angle_alpha 90.00
_cell_angle_beta 90.00
_cell_angle_gamma 90.00
_space_group_name_H-M_alt 'P 4/m m m'
_space_group_IT_number 123
_space_group_name_Hall '-P 4 2'
loop_
_atom_site_label
_atom_site_type_symbol
_atom_site_fract_x
_atom_site_fract_y
_atom_site_fract_z
Gd1 Gd 0.000 0.000 0.194
Ga1 Ga 0.000 0.500 0.000
Ga2 Ga 0.000 0.500 0.385
Ga3 Ga 0.500 0.500 0.202
Co1 Co 0.000 0.000 0.500
```